1.
Starting from a cell relaxed with GGA-PBE, the PXRD pattern of ScOs was simulated for Cu Kα X-rays.
Lines closer than 0.1° are merged.

Unit cell a=10.2758 b=2.9750 c=7.5918 alpha=90.00 beta=113.40 gamma=90.00
Space group Cm (No. 8)
One atom of each set of equivalent atoms:
Sc (0.0000, 0.0000, 0.0000) (multiplicity 2)
Sc (0.1391, 0.5000, 0.4349) (multiplicity 2)
Sc (0.3052, 0.0000, 0.1648) (multiplicity 2)
Os (0.1354, 0.5000, 0.7959) (multiplicity 2)
Os (0.3286, 0.0000, 0.7316) (multiplicity 2)
Os (0.4294, 0.5000, 0.5115) (multiplicity 2)

The 10 most intense peaks (5° ≤ 2θ ≤ 70°), by angle:
d_spacing, 2θ (°), I_rel, (hkl)
6.967, 12.71, 100, 0 0 1
2.524, 35.56, 11, 1 1 1
2.457, 36.57, 20, 4 0 -2
2.386, 37.71, 17, 2 0 2
2.341, 38.45, 44, 1 1 -2
2.322, 38.77, 10, 0 0 3
2.244, 40.18, 23, 3 1 -1
2.161, 41.80, 36, 3 1 0
2.131, 42.42, 15, 4 0 -3
1.913, 47.54, 13, 1 1 -3


2.
Starting from a cell relaxed with GGA-PBE, the PXRD pattern of Sc5SnOs was simulated for Cu Kα X-rays.
Lines closer than 0.1° are merged.

Unit cell a=8.1598 b=8.5367 c=9.3544 alpha=90.00 beta=95.51 gamma=90.00
Space group C2/c (No. 15)
One atom of each set of equivalent atoms:
Sc (0.0000, 0.1325, 0.2500) (multiplicity 4)
Sc (0.1557, 0.2150, 0.6528) (multiplicity 8)
Sc (0.1935, 0.4122, 0.0146) (multiplicity 8)
Sn (0.0000, 0.4801, 0.2500) (multiplicity 4)
Os (0.0000, 0.0000, 0.0000) (multiplicity 4)

The 10 most intense peaks (5° ≤ 2θ ≤ 70°), by angle:
d_spacing, 2θ (°), I_rel, (hkl)
4.268, 20.81, 73, 0 2 0
4.061, 21.89, 60, 2 0 0
3.781, 23.53, 100, 1 1 -2
3.533, 25.21, 82, 1 1 2
2.942, 30.38, 78, 2 2 0
2.359, 38.15, 45, 1 3 -2
2.350, 38.30, 61, 3 1 -2
2.295, 39.26, 67, 1 3 2
2.174, 41.53, 43, 3 1 2
2.044, 44.32, 49, 0 2 4